# 1
# LaNdOs4C4
Calculated powder diffraction line list, λ = 1.5418 Å (Cu Kα). Input: the PBE geometry in OQMD.
Kinematic intensities with the Lorentz-polarization factor, no thermal factor.

Cell: 6.337 9.281 9.814 Å, 90.00 90.00 90.00°
Space group F222 (No. 22)
Inequivalent atoms, fractional coordinates:
La: 0.000 0.000 0.000 x4
Nd: 0.250 0.250 0.250 x4
Os: 0.000 0.000 0.363 x8
Os: 0.250 0.250 0.614 x8
C: 0.000 0.180 0.500 x8
C: 0.250 0.067 0.750 x8

Peak list (10 most intense, 15 to 90 degrees two-theta, sorted by position)
- hkl 1 1 1, 4.618 Å, intensity 21
- hkl 1 1 3, 2.774 Å, intensity 93
- hkl 2 2 0, 2.617 Å, intensity 100
- hkl 0 4 0, 2.320 Å, intensity 37
- hkl 1 3 3, 2.118 Å, intensity 49
- hkl 2 2 4, 1.790 Å, intensity 14
- hkl 3 1 3, 1.743 Å, intensity 24
- hkl 1 5 3, 1.564 Å, intensity 17
- hkl 3 3 3, 1.539 Å, intensity 18
- hkl 2 6 0, 1.390 Å, intensity 16



# 2
# DyPSe4
Calculated powder diffraction line list, λ = 1.5418 Å (Cu Kα). Input: the PBE geometry in OQMD.
Kinematic intensities with the Lorentz-polarization factor, no thermal factor.

Cell: 11.324 11.324 20.156 Å, 90.00 90.00 90.00°
Space group I4_1/acd (No. 142, origin choice 2)
Inequivalent atoms, fractional coordinates:
Dy: 0.000 0.250 0.125 x8
Dy: 0.000 0.250 0.375 x8
P: 0.039 0.000 0.250 x16
Se: 0.067 0.004 0.843 x32
Se: 0.080 0.110 0.003 x32

Peak list (10 most intense, 15 to 90 degrees two-theta, sorted by position)
- hkl 2 0 0, 5.662 Å, intensity 100
- hkl 2 0 4, 3.764 Å, intensity 40
- hkl 2 1 5, 3.154 Å, intensity 46
- hkl 2 2 4, 3.135 Å, intensity 32
- hkl 3 2 1, 3.103 Å, intensity 57
- hkl 2 0 6, 2.889 Å, intensity 36
- hkl 4 2 0, 2.532 Å, intensity 40
- hkl 0 0 8, 2.519 Å, intensity 31
- hkl 4 0 4, 2.468 Å, intensity 86
- hkl 4 2 4, 2.263 Å, intensity 82